Theoretical powder diffractogram
Compound: ZrBeFe
Radiation: Cu Kα
Structure: DFT lattice parameters and positions (PBE)
Peak positions follow from Bragg's law for the DFT cell and can differ from measured ones.

Cell and atoms:
Cell: 4.899 4.913 6.726 Å, 90.00 90.00 90.00°
Space group Imma (No. 74)
Asymmetric unit:
Zr: 0.000 0.250 0.131 x4
Be: 0.250 0.250 0.750 x4
Fe: 0.000 0.000 0.500 x4

Principal peaks in the range 2θ from 5° to 70°, low angle first:
d (Å)	Rel. int.	index
3.967	55	0 1 1
3.363	10	0 0 2
2.450	42	2 0 0
2.415	66	1 1 2
2.087	100	1 2 1
2.039	49	1 0 3
1.982	17	0 2 2
1.410	11	1 3 2
1.408	11	3 1 2
1.388	14	0 2 4

---

Theoretical powder diffractogram
Compound: BeGa6
Radiation: Cu Kα
Structure: DFT lattice parameters and positions (PBE)
Peak positions follow from Bragg's law for the DFT cell and can differ from measured ones.

Cell and atoms:
Cell: 7.145 7.145 7.145 Å, 90.00 90.00 90.00°
Space group Im-3m (No. 229)
Asymmetric unit:
Be: 0.000 0.000 0.000 x2
Ga: 0.000 0.250 0.500 x12

Principal peaks in the range 2θ from 5° to 70°, low angle first:
d (Å)	Rel. int.	index
5.053	100	1 1 0
3.573	26	2 0 0
2.917	62	2 1 1
2.526	18	2 2 0
2.260	26	3 1 0
2.063	61	2 2 2
1.910	36	3 2 1
1.786	31	4 0 0
1.684	15	4 1 1
1.401	16	5 1 0

---

Theoretical powder diffractogram
Compound: BeGa
Radiation: Cu Kα
Structure: DFT lattice parameters and positions (PBE)
Peak positions follow from Bragg's law for the DFT cell and can differ from measured ones.

Cell and atoms:
Cell: 3.829 10.575 4.147 Å, 90.00 90.00 90.00°
Space group Pmmn (No. 59, origin choice 2)
Asymmetric unit:
Be: 0.250 0.146 0.179 x4
Be: 0.250 0.750 0.683 x2
Ga: 0.250 0.250 0.677 x2
Ga: 0.250 0.577 0.156 x4

Principal peaks in the range 2θ from 5° to 70°, low angle first:
d (Å)	Rel. int.	index
3.861	73	0 1 1
3.263	27	0 2 1
2.719	21	1 1 1
2.593	100	1 3 0
2.484	77	1 2 1
1.927	29	1 4 1
1.915	26	2 0 0
1.884	20	0 5 1
1.823	34	1 0 2
1.787	25	0 3 2

---

Theoretical powder diffractogram
Compound: Hf3Be2Ga4
Radiation: Cu Kα
Structure: DFT lattice parameters and positions (PBE)
Peak positions follow from Bragg's law for the DFT cell and can differ from measured ones.

Cell and atoms:
Cell: 9.633 4.104 7.806 Å, 90.00 113.24 90.00°
Space group C2/m (No. 12)
Asymmetric unit:
Hf: 0.000 0.000 0.000 x2
Hf: 0.162 0.500 0.667 x4
Be: 0.113 0.500 0.284 x4
Ga: 0.067 0.000 0.389 x4
Ga: 0.213 0.500 0.062 x4

Principal peaks in the range 2θ from 5° to 70°, low angle first:
d (Å)	Rel. int.	index
3.555	52	2 0 -2
3.238	5	2 0 1
2.395	100	1 1 2
2.391	19	0 0 3
2.053	56	0 2 0
1.778	8	2 2 -2
1.619	9	4 0 2
1.560	16	4 2 -1
1.557	16	2 0 -5
1.475	4	5 1 1

---

Theoretical powder diffractogram
Compound: Hf2Be3Ga
Radiation: Cu Kα
Structure: DFT lattice parameters and positions (PBE)
Peak positions follow from Bragg's law for the DFT cell and can differ from measured ones.

Cell and atoms:
Cell: 3.217 3.877 6.772 Å, 90.00 90.00 90.00°
Space group Pmm2 (No. 25)
Asymmetric unit:
Hf: 0.000 0.000 0.000 x1
Hf: 0.000 0.500 0.462 x1
Be: 0.500 0.000 0.314 x1
Be: 0.500 0.000 0.634 x1
Be: 0.500 0.500 0.155 x1
Ga: 0.500 0.500 0.811 x1

Principal peaks in the range 2θ from 5° to 70°, low angle first:
d (Å)	Rel. int.	index
3.386	38	0 0 2
3.365	81	0 1 1
3.217	25	1 0 0
2.332	49	1 0 2
2.325	100	1 1 1
1.951	33	0 1 3
1.939	18	0 2 0
1.668	13	1 1 3
1.491	24	1 2 2
1.452	21	2 1 1

---

Theoretical powder diffractogram
Compound: Hf2Be16Ga
Radiation: Cu Kα
Structure: DFT lattice parameters and positions (PBE)
Peak positions follow from Bragg's law for the DFT cell and can differ from measured ones.

Cell and atoms:
Cell: 7.5722 7.5722 11.0582 Å, 90.00 90.00 120.00°
Space group R3m (No. 160, hexagonal axes)
Asymmetric unit:
Hf: 0.0000 0.0000 0.0000 x3
Hf: 0.0000 0.0000 0.3185 x3
Be: 0.0000 0.0000 0.5533 x3
Be: 0.9999 0.2961 0.6561 x18
Be: 0.0022 0.5011 0.8153 x9
Be: 0.0092 0.5046 0.1571 x9
Be: 0.1718 0.3436 0.8334 x9
Ga: 0.0000 0.0000 0.7541 x3

Principal peaks in the range 2θ from 5° to 70°, low angle first:
d (Å)	Rel. int.	index
5.641	25	1 0 1
4.227	14	0 1 2
3.786	100	1 1 0
3.686	20	0 0 3
2.641	58	1 1 3
2.547	19	1 0 4
2.186	30	3 0 0
1.893	21	2 2 0
1.880	28	0 3 3
1.845	19	0 0 6

---

Theoretical powder diffractogram
Compound: Hf2Be3Ga
Radiation: Cu Kα
Structure: DFT lattice parameters and positions (PBE)
Peak positions follow from Bragg's law for the DFT cell and can differ from measured ones.

Cell and atoms:
Cell: 6.430 7.818 13.477 Å, 90.00 90.00 90.00°
Space group Fmmm (No. 69)
Asymmetric unit:
Hf: 0.242 0.000 0.000 x8
Hf: 0.250 0.250 0.250 x8
Be: 0.000 0.000 0.163 x8
Be: 0.000 0.244 0.081 x16
Ga: 0.000 0.000 0.334 x8

Principal peaks in the range 2θ from 5° to 70°, low angle first:
d (Å)	Rel. int.	index
3.377	80	0 2 2
3.215	17	2 0 0
2.329	100	2 0 4
1.955	12	0 4 0
1.948	24	0 2 6
1.691	8	0 4 4
1.666	11	2 2 6
1.496	17	2 4 4
1.492	8	2 0 8
1.451	13	4 2 2

---

Theoretical powder diffractogram
Compound: Hf4BeGa
Radiation: Cu Kα
Structure: DFT lattice parameters and positions (PBE)
Peak positions follow from Bragg's law for the DFT cell and can differ from measured ones.

Cell and atoms:
Cell: 6.487 6.487 5.375 Å, 90.00 90.00 90.00°
Space group P4/mcc (No. 124)
Asymmetric unit:
Hf: 0.149 0.330 0.000 x8
Be: 0.000 0.000 0.250 x2
Ga: 0.500 0.500 0.250 x2

Principal peaks in the range 2θ from 5° to 70°, low angle first:
d (Å)	Rel. int.	index
3.244	7	2 0 0
2.688	20	0 0 2
2.553	100	2 1 1
2.319	11	1 1 2
2.069	13	2 0 2
2.051	19	3 1 0
1.631	8	3 1 2
1.524	21	2 1 3
1.510	13	4 1 1
1.389	7	4 0 2

---

Theoretical powder diffractogram
Compound: Hf4BeGa
Radiation: Cu Kα
Structure: DFT lattice parameters and positions (PBE)
Peak positions follow from Bragg's law for the DFT cell and can differ from measured ones.

Cell and atoms:
Cell: 6.820 6.820 4.805 Å, 90.00 90.00 90.00°
Space group I422 (No. 97)
Asymmetric unit:
Hf: 0.153 0.347 0.250 x8
Be: 0.000 0.000 0.500 x2
Ga: 0.000 0.000 0.000 x2

Principal peaks in the range 2θ from 5° to 70°, low angle first:
d (Å)	Rel. int.	index
4.823	9	1 1 0
2.575	100	2 1 1
2.402	13	0 0 2
2.157	22	3 1 0
2.150	10	1 1 2
1.964	8	2 0 2
1.605	8	3 1 2
1.564	11	4 1 1
1.418	16	2 1 3
1.390	9	4 0 2

---

Theoretical powder diffractogram
Compound: Ho3BeGa2Ir3
Radiation: Cu Kα
Structure: DFT lattice parameters and positions (PBE)
Peak positions follow from Bragg's law for the DFT cell and can differ from measured ones.

Cell and atoms:
Cell: 7.1082 7.1082 3.6433 Å, 90.00 90.00 120.00°
Space group P-62m (No. 189)
Asymmetric unit:
Ho: 0.0000 0.3825 0.0000 x3
Be: 0.0000 0.0000 0.0000 x1
Ga: 0.3333 0.6667 0.5000 x2
Ir: 0.0000 0.7672 0.5000 x3

Principal peaks in the range 2θ from 5° to 70°, low angle first:
d (Å)	Rel. int.	index
3.135	16	1 0 1
2.544	100	1 1 1
2.351	29	2 0 1
2.327	61	2 1 0
2.052	16	3 0 0
1.961	23	2 1 1
1.822	16	0 0 2
1.546	14	3 1 1
1.434	27	2 1 2
1.418	11	4 0 1

---

Theoretical powder diffractogram
Compound: HoBeGaPt3
Radiation: Cu Kα
Structure: DFT lattice parameters and positions (PBE)
Peak positions follow from Bragg's law for the DFT cell and can differ from measured ones.

Cell and atoms:
Cell: 6.847 11.541 5.472 Å, 90.00 90.00 90.00°
Space group Cmcm (No. 63)
Asymmetric unit:
Ho: 0.000 0.198 0.250 x4
Be: 0.000 0.117 0.750 x4
Ga: 0.000 0.457 0.250 x4
Pt: 0.000 0.311 0.750 x4
Pt: 0.200 0.000 0.000 x8

Principal peaks in the range 2θ from 5° to 70°, low angle first:
d (Å)	Rel. int.	index
5.771	30	0 2 0
3.971	27	0 2 1
2.944	100	2 2 0
2.885	39	0 4 0
2.552	44	0 4 1
2.472	81	0 2 2
2.239	28	3 1 0
2.137	86	2 0 2
2.046	46	2 4 1
1.718	25	2 4 2

---

Theoretical powder diffractogram
Compound: BeGa3Ir4
Radiation: Cu Kα
Structure: DFT lattice parameters and positions (PBE)
Peak positions follow from Bragg's law for the DFT cell and can differ from measured ones.

Cell and atoms:
Cell: 2.994 2.994 12.011 Å, 90.00 90.00 90.00°
Space group P4/mmm (No. 123)
Asymmetric unit:
Be: 0.000 0.000 0.000 x1
Ga: 0.000 0.000 0.237 x2
Ga: 0.000 0.000 0.500 x1
Ir: 0.500 0.500 0.114 x2
Ir: 0.500 0.500 0.371 x2

Principal peaks in the range 2θ from 5° to 70°, low angle first:
d (Å)	Rel. int.	index
12.011	1	0 0 1
2.997	39	1 0 0
2.905	1	1 0 1
2.680	1	1 0 2
2.398	4	1 0 3
2.119	100	1 1 0
1.730	11	1 1 4
1.716	1	0 0 7
1.501	5	0 0 8
1.497	11	2 0 0